This entry pairs a crystal structure of TlCr5O8 with its calculated PXRD pattern. Radiation: Cu Kα X-rays. Structure: the GGA+U geometry in Alexandria.
Neutral-atom scattering factors, no anomalous dispersion.

Cell and atoms:
Unit cell a=7.821 b=7.821 c=7.609 alpha=106.36 beta=106.36 gamma=22.28
Positions (direct):
1 Tl 0.000 0.000 0.000
2 Cr 0.159 0.159 0.457
3 Cr 0.204 0.204 0.832
4 Cr 0.500 0.500 0.500
5 Cr 0.796 0.796 0.168
6 Cr 0.841 0.841 0.543
7 O 0.081 0.081 0.628
8 O 0.266 0.266 0.353
9 O 0.323 0.323 0.026
10 O 0.416 0.416 0.666
11 O 0.584 0.584 0.334
12 O 0.677 0.677 0.974
13 O 0.734 0.734 0.647
14 O 0.919 0.919 0.372

The 6 most intense peaks (10° ≤ 2θ ≤ 80°), sorted by position:
two_theta	I_rel
23.78	100
24.42	83
30.20	63
30.34	65
35.21	79
38.84	70